Starting from a structure optimized by DFT (GGA-PBE), the powder diffractogram of TmAgPdRh was calculated for Cu Kα X-rays.
Intensities are scaled so that the largest is 100.

The 10 most intense peaks (10 to 90 degrees two-theta), in order of rising 2θ:
two_theta, d_spacing, I_rel
37.94, 2.371, 100
41.76, 2.163, 19
43.28, 2.090, 17
47.11, 1.929, 13
61.71, 1.503, 12
64.75, 1.440, 10
73.71, 1.285, 14
75.85, 1.254, 13
81.11, 1.186, 11
81.38, 1.182, 11

Structural model:
```
TmAgPdRh
1.0
3.858 0.000 0.000
0.000 4.181 0.000
0.000 0.000 4.326
Tm Ag Pd Rh
1 1 1 1
Cartesian
0.000 0.000 0.000
0.000 2.090 2.163
1.929 0.000 2.163
1.929 2.090 0.000
```

***

Starting from a structure optimized by DFT (GGA-PBE), the powder diffractogram of Ag3Sn3PdS8 was calculated for Cu Kα X-rays.
Intensities are scaled so that the largest is 100.

The 10 most intense peaks (10 to 90 degrees two-theta), in order of rising 2θ:
two_theta, d_spacing, I_rel
14.31, 6.188, 11
27.67, 3.223, 16
28.86, 3.094, 37
33.10, 2.706, 100
46.75, 1.943, 36
48.27, 1.885, 33
56.55, 1.627, 13
57.18, 1.611, 13
59.78, 1.547, 18
77.99, 1.225, 17

Structural model:
```
Ag3Sn3PdS8
1.0
6.531 -3.771 0.000
6.531 3.771 0.000
-4.361 0.000 6.448
Ag Sn Pd S
3 3 1 8
Cartesian
0.000 0.000 0.000
3.266 1.885 0.000
3.266 -1.885 0.000
1.085 1.885 3.224
1.085 -1.885 3.224
4.350 0.000 3.224
-2.181 0.000 3.224
-0.172 0.000 4.692
3.346 2.032 4.692
5.354 2.032 1.756
2.174 0.000 1.637
6.527 0.000 4.811
3.346 -2.032 4.692
5.354 -2.032 1.756
8.872 0.000 1.756
```